1.
This entry pairs a crystal structure of ReGeAs with its theoretical X-ray powder pattern. Radiation: Cu Kα (λ = 1.5418 Å). Structure: DFT lattice parameters and positions (GGA-PBE).

The 8 most intense peaks (15° ≤ 2θ ≤ 90°), sorted by position:
two_theta  I_rel  hkl
19.39  50  2 0 -1
35.13  100  1 1 1
41.65  41  3 1 -2
42.85  31  4 0 -3
44.37  79  3 1 0
45.71  29  1 1 -3
46.83  47  3 1 -3
56.89  42  0 2 0

Structural model:
abc: 9.191 3.237 7.805
angles: 90.00 120.90 90.00
Space group C2/m (No. 12)
Asymmetric unit:
Re1 0.161 0.000 0.211 (multiplicity 4)
Ge1 0.103 0.500 0.896 (multiplicity 4)
As1 0.141 0.000 0.528 (multiplicity 4)

=====

2.
This entry pairs a crystal structure of ZrAlMo with its theoretical X-ray powder pattern. Radiation: Cu Kα (λ = 1.5418 Å). Structure: DFT lattice parameters and positions (GGA-PBE).

The 8 most intense peaks (15° ≤ 2θ ≤ 90°), sorted by position:
two_theta  I_rel  hkl
27.91  25  2 1 1
36.06  100  3 1 1
39.22  18  0 2 2
39.49  67  2 1 3
40.41  32  1 0 4
40.57  80  1 2 2
61.80  22  3 1 5
66.50  25  5 2 2

Structural model:
abc: 8.890 5.298 9.224
angles: 90.00 90.00 90.00
Space group Amm2 (No. 38)
Asymmetric unit:
Zr1 0.185 0.000 0.000 (multiplicity 4)
Zr2 0.314 0.000 0.335 (multiplicity 4)
Al1 0.251 0.000 0.674 (multiplicity 4)
Al2 0.500 0.245 0.083 (multiplicity 4)
Mo1 0.000 0.000 0.501 (multiplicity 2)
Mo2 0.000 0.244 0.257 (multiplicity 4)
Mo3 0.500 0.000 0.837 (multiplicity 2)

=====

3.
This entry pairs a crystal structure of RbMgF3 with its theoretical X-ray powder pattern. Radiation: Cu Kα (λ = 1.5418 Å). Structure: DFT lattice parameters and positions (GGA-PBE).

The 8 most intense peaks (15° ≤ 2θ ≤ 90°), sorted by position:
two_theta  I_rel  hkl
21.53  22  1 0 0
30.63  100  1 1 0
37.74  63  1 1 1
43.86  61  2 0 0
54.44  40  2 1 1
63.77  36  2 2 0
76.54  18  3 1 1
88.65  22  3 2 1

Structural model:
abc: 4.128 4.128 4.128
angles: 90.00 90.00 90.00
Space group Pm-3m (No. 221)
Asymmetric unit:
Rb1 0.000 0.000 0.000 (multiplicity 1)
Mg1 0.500 0.500 0.500 (multiplicity 1)
F1 0.000 0.500 0.500 (multiplicity 3)